# 1
Calculated PXRD pattern of HoPaNi for Cu Kα, from a cell relaxed with GGA-PBE.
No peak broadening, texture or thermal motion is included.

Structure:
Lattice parameters (Å, degrees): 6.565 6.565 6.565 90.00 90.00 90.00
Space group F-43m (No. 216)
Unique sites:
Ho 0.000 0.000 0.000 [4 per cell]
Pa 0.000 0.000 0.500 [4 per cell]
Ni 0.250 0.250 0.750 [4 per cell]

The 10 most intense peaks (2θ = 10–90°), by angle:
d (Å), I_rel, hkl
3.790, 10, 1 1 1
3.282, 64, 2 0 0
2.321, 100, 2 2 0
1.979, 5, 3 1 1
1.895, 19, 2 2 2
1.641, 17, 4 0 0
1.468, 25, 4 2 0
1.340, 35, 4 2 2
1.161, 11, 4 4 0
1.094, 13, 6 0 0

# 2
Calculated PXRD pattern of Ho2Ni2Pb for Cu Kα, from a cell relaxed with GGA-PBE.
No peak broadening, texture or thermal motion is included.

Structure:
Lattice parameters (Å, degrees): 3.662 3.977 14.217 90.00 90.00 90.00
Space group Amm2 (No. 38)
Unique sites:
Ho 0.000 0.000 0.000 [2 per cell]
Ho 0.000 0.000 0.281 [2 per cell]
Ni 0.500 0.000 0.440 [2 per cell]
Ni 0.500 0.000 0.841 [2 per cell]
Pb 0.500 0.000 0.640 [2 per cell]

The 10 most intense peaks (2θ = 10–90°), by angle:
d (Å), I_rel, hkl
3.047, 53, 0 1 3
2.647, 100, 1 1 1
2.550, 67, 1 0 4
2.370, 16, 0 0 6
2.313, 31, 0 1 5
1.989, 24, 0 2 0
1.831, 18, 2 0 0
1.622, 21, 1 1 7
1.569, 46, 1 2 4
1.325, 14, 1 0 10

# 3
Calculated PXRD pattern of HoScNi2Pb for Cu Kα, from a cell relaxed with GGA-PBE.
No peak broadening, texture or thermal motion is included.

Structure:
Lattice parameters (Å, degrees): 3.560 3.926 14.066 90.00 90.00 90.00
Space group Amm2 (No. 38)
Unique sites:
Ho 0.000 0.000 0.000 [2 per cell]
Sc 0.000 0.000 0.284 [2 per cell]
Ni 0.500 0.000 0.439 [2 per cell]
Ni 0.500 0.000 0.838 [2 per cell]
Pb 0.500 0.000 0.646 [2 per cell]

The 10 most intense peaks (2θ = 10–90°), by angle:
d (Å), I_rel, hkl
7.033, 22, 0 0 2
3.781, 19, 0 1 1
3.176, 21, 1 0 2
3.010, 43, 0 1 3
2.592, 100, 1 1 1
2.502, 57, 1 0 4
2.287, 37, 0 1 5
1.963, 22, 0 2 0
1.924, 27, 1 1 5
1.544, 26, 1 2 4

# 4
Calculated PXRD pattern of SmHoNi2Pb for Cu Kα, from a cell relaxed with GGA-PBE.
No peak broadening, texture or thermal motion is included.

Structure:
Lattice parameters (Å, degrees): 3.684 4.012 14.290 90.00 90.00 90.00
Space group Amm2 (No. 38)
Unique sites:
Sm 0.000 0.000 0.000 [2 per cell]
Ho 0.000 0.000 0.720 [2 per cell]
Ni 0.500 0.000 0.161 [2 per cell]
Ni 0.500 0.000 0.562 [2 per cell]
Pb 0.500 0.000 0.359 [2 per cell]

The 10 most intense peaks (2θ = 10–90°), by angle:
d (Å), I_rel, hkl
3.069, 51, 0 1 3
2.666, 100, 1 1 1
2.565, 66, 1 0 4
2.382, 16, 0 0 6
2.328, 32, 0 1 5
2.006, 23, 0 2 0
1.842, 18, 2 0 0
1.631, 20, 1 1 7
1.580, 46, 1 2 4
1.444, 14, 2 1 5

# 5
Calculated PXRD pattern of Ho2NiPd for Cu Kα, from a cell relaxed with GGA-PBE.
No peak broadening, texture or thermal motion is included.

Structure:
Lattice parameters (Å, degrees): 5.449 4.425 6.925 90.00 90.94 90.00
Space group P2_1/m (No. 11)
Unique sites:
Ho 0.138 0.250 0.308 [2 per cell]
Ho 0.359 0.250 0.827 [2 per cell]
Ni 0.132 0.750 0.036 [2 per cell]
Pd 0.346 0.750 0.543 [2 per cell]

The 10 most intense peaks (2θ = 10–90°), by angle:
d (Å), I_rel, hkl
3.064, 56, 1 1 1
2.726, 99, 0 1 2
2.549, 47, 2 0 -1
2.521, 33, 2 0 1
2.451, 63, 1 1 -2
2.426, 42, 1 1 2
2.211, 100, 0 2 0
2.190, 42, 2 1 1
2.113, 26, 1 0 3
1.671, 26, 2 2 -1

# 6
Calculated PXRD pattern of Ho2TmNiSn3Pd2 for Cu Kα, from a cell relaxed with GGA-PBE.
No peak broadening, texture or thermal motion is included.

Structure:
Lattice parameters (Å, degrees): 3.830 13.047 7.549 90.00 90.00 90.00
Space group Amm2 (No. 38)
Unique sites:
Ho 0.000 0.200 0.000 [4 per cell]
Tm 0.000 0.000 0.601 [2 per cell]
Ni 0.000 0.000 0.201 [2 per cell]
Sn 0.500 0.000 0.948 [2 per cell]
Sn 0.500 0.126 0.327 [4 per cell]
Pd 0.500 0.166 0.700 [4 per cell]

The 10 most intense peaks (2θ = 10–90°), by angle:
d (Å), I_rel, hkl
2.687, 100, 1 3 1
2.485, 62, 1 4 0
2.468, 47, 0 4 2
2.177, 30, 0 3 3
2.075, 16, 1 1 3
1.915, 20, 2 0 0
1.637, 17, 1 5 3
1.513, 21, 2 4 2
1.438, 16, 2 3 3
1.396, 17, 1 7 3

# 7
Calculated PXRD pattern of Ho4NiPt3 for Cu Kα, from a cell relaxed with GGA-PBE.
No peak broadening, texture or thermal motion is included.

Structure:
Lattice parameters (Å, degrees): 5.530 4.446 7.016 90.00 90.66 90.00
Space group Pm (No. 6)
Unique sites:
Ho 0.000 0.000 0.000 [1 per cell]
Ho 0.224 0.000 0.502 [1 per cell]
Ho 0.501 0.500 0.137 [1 per cell]
Ho 0.728 0.500 0.640 [1 per cell]
Ni 0.224 0.500 0.781 [1 per cell]
Pt 0.020 0.500 0.274 [1 per cell]
Pt 0.500 0.000 0.858 [1 per cell]
Pt 0.707 0.000 0.365 [1 per cell]

The 10 most intense peaks (2θ = 10–90°), by angle:
d (Å), I_rel, hkl
3.098, 25, 1 1 1
2.754, 76, 0 1 2
2.583, 34, 2 0 -1
2.562, 19, 2 0 1
2.474, 55, 1 1 -2
2.456, 42, 1 1 2
2.233, 41, 2 1 -1
2.222, 100, 0 2 0
1.685, 19, 2 2 -1
1.678, 23, 1 0 -4

# 8
Calculated PXRD pattern of Ho3NiSn3Pt2 for Cu Kα, from a cell relaxed with GGA-PBE.
No peak broadening, texture or thermal motion is included.

Structure:
Lattice parameters (Å, degrees): 7.5007 7.5007 3.8931 90.00 90.00 120.00
Space group P-62m (No. 189)
Unique sites:
Ho 0.0000 0.4053 0.0000 [3 per cell]
Ni 0.0000 0.0000 0.0000 [1 per cell]
Sn 0.0000 0.7506 0.5000 [3 per cell]
Pt 0.3333 0.6667 0.5000 [2 per cell]

The 10 most intense peaks (2θ = 10–90°), by angle:
d (Å), I_rel, hkl
2.701, 100, 1 1 1
2.494, 71, 2 0 1
2.455, 46, 2 1 0
2.165, 35, 3 0 0
2.077, 22, 2 1 1
1.947, 22, 0 0 2
1.525, 22, 2 1 2
1.448, 19, 3 0 2
1.392, 25, 3 2 1
1.227, 15, 1 1 3

# 9
Calculated PXRD pattern of HoTm2Sc3NiTe2 for Cu Kα, from a cell relaxed with GGA-PBE.
No peak broadening, texture or thermal motion is included.

Structure:
Lattice parameters (Å, degrees): 3.892 13.780 7.976 90.00 90.00 90.00
Space group Amm2 (No. 38)
Unique sites:
Ho 0.000 0.000 0.000 [2 per cell]
Tm 0.000 0.195 0.411 [4 per cell]
Sc 0.500 0.000 0.374 [2 per cell]
Sc 0.500 0.116 0.723 [4 per cell]
Ni 0.000 0.000 0.602 [2 per cell]
Te 0.500 0.167 0.107 [4 per cell]

The 10 most intense peaks (2θ = 10–90°), by angle:
d (Å), I_rel, hkl
3.983, 32, 0 0 2
2.784, 100, 1 0 2
2.607, 26, 0 5 1
2.581, 52, 1 2 2
2.300, 36, 0 6 0
2.166, 18, 1 5 1
1.946, 15, 2 0 0
1.718, 11, 1 2 4
1.485, 18, 2 6 0
1.467, 13, 1 1 5

# 10
Calculated PXRD pattern of Y2HoSc3NiTe2 for Cu Kα, from a cell relaxed with GGA-PBE.
No peak broadening, texture or thermal motion is included.

Structure:
Lattice parameters (Å, degrees): 3.937 13.886 7.993 90.00 90.00 90.00
Space group Amm2 (No. 38)
Unique sites:
Y 0.000 0.197 0.000 [4 per cell]
Ho 0.000 0.000 0.589 [2 per cell]
Sc 0.500 0.000 0.965 [2 per cell]
Sc 0.500 0.115 0.312 [4 per cell]
Ni 0.000 0.000 0.199 [2 per cell]
Te 0.500 0.166 0.696 [4 per cell]

The 10 most intense peaks (2θ = 10–90°), by angle:
d (Å), I_rel, hkl
6.928, 19, 0 1 1
4.001, 29, 0 0 2
2.807, 100, 1 3 1
2.620, 32, 0 4 2
2.602, 64, 1 4 0
2.311, 42, 0 6 0
2.181, 28, 1 1 3
1.968, 18, 2 0 0
1.498, 21, 2 6 0
1.476, 14, 1 7 3

# 11
Calculated PXRD pattern of HoScZnNi2 for Cu Kα, from a cell relaxed with GGA-PBE.
No peak broadening, texture or thermal motion is included.

Structure:
Lattice parameters (Å, degrees): 4.181 5.266 7.754 90.00 90.00 90.00
Space group Imm2 (No. 44)
Unique sites:
Ho 0.000 0.000 0.000 [2 per cell]
Sc 0.000 0.000 0.408 [2 per cell]
Zn 0.000 0.500 0.203 [2 per cell]
Ni 0.000 0.271 0.703 [4 per cell]

The 10 most intense peaks (2θ = 10–90°), by angle:
d (Å), I_rel, hkl
4.357, 35, 0 1 1
3.680, 23, 1 0 1
3.274, 20, 1 1 0
2.502, 100, 1 1 2
2.320, 28, 0 1 3
2.199, 25, 1 0 3
2.178, 26, 0 2 2
2.141, 69, 1 2 1
2.090, 34, 2 0 0
1.273, 36, 1 2 5

# 12
Calculated PXRD pattern of Ho3SiNi4 for Cu Kα, from a cell relaxed with GGA-PBE.
No peak broadening, texture or thermal motion is included.

Structure:
Lattice parameters (Å, degrees): 5.141 4.093 6.546 90.00 95.30 90.00
Space group Pm (No. 6)
Unique sites:
Ho 0.000 0.000 0.000 [1 per cell]
Ho 0.193 0.000 0.493 [1 per cell]
Ho 0.694 0.500 0.620 [1 per cell]
Si 0.456 0.500 0.155 [1 per cell]
Ni 0.233 0.500 0.806 [1 per cell]
Ni 0.484 0.000 0.919 [1 per cell]
Ni 0.638 0.000 0.294 [1 per cell]
Ni 0.941 0.500 0.265 [1 per cell]

The 10 most intense peaks (2θ = 10–90°), by angle:
d (Å), I_rel, hkl
3.196, 48, 1 1 0
2.807, 75, 1 1 1
2.549, 100, 0 1 2
2.461, 52, 2 0 -1
2.351, 76, 1 1 -2
2.311, 39, 2 0 1
2.219, 50, 1 1 2
2.109, 74, 2 1 -1
2.070, 33, 1 0 -3
2.046, 68, 0 2 0

Please write out number 2 again, unchanged.
Calculated PXRD pattern of Ho2Ni2Pb for Cu Kα, from a cell relaxed with GGA-PBE.
No peak broadening, texture or thermal motion is included.

Structure:
Lattice parameters (Å, degrees): 3.662 3.977 14.217 90.00 90.00 90.00
Space group Amm2 (No. 38)
Unique sites:
Ho 0.000 0.000 0.000 [2 per cell]
Ho 0.000 0.000 0.281 [2 per cell]
Ni 0.500 0.000 0.440 [2 per cell]
Ni 0.500 0.000 0.841 [2 per cell]
Pb 0.500 0.000 0.640 [2 per cell]

The 10 most intense peaks (2θ = 10–90°), by angle:
d (Å), I_rel, hkl
3.047, 53, 0 1 3
2.647, 100, 1 1 1
2.550, 67, 1 0 4
2.370, 16, 0 0 6
2.313, 31, 0 1 5
1.989, 24, 0 2 0
1.831, 18, 2 0 0
1.622, 21, 1 1 7
1.569, 46, 1 2 4
1.325, 14, 1 0 10